Calculated X-ray diffraction stick pattern
Compound: Zr3Ni2Sb4Pd2
Radiation: Cu Kα (λ = 1.5418 Å)
Structure: a DFT-relaxed cell (GGA-PBE, OQMD)

Largest 10 diffraction maxima, low angle first, 5 to 70 degrees two-theta:
index, Position (°2θ), Rel. int.
1 0 2, 26.37, 18
1 1 -1, 27.49, 20
2 1 0, 33.73, 36
1 1 2, 34.18, 47
2 1 -1, 35.64, 61
2 1 1, 35.76, 46
0 1 3, 41.00, 100
0 2 0, 43.51, 64
3 0 2, 45.93, 17
3 1 -1, 46.49, 19

Structural model:
```
data_Zr3Ni2Sb4Pd2
_symmetry_space_group_name_H-M 'P 1 m 1'
_symmetry_Int_Tables_number 6
_cell_length_a 6.910
_cell_length_b 4.160
_cell_length_c 7.782
_cell_angle_alpha 90.00
_cell_angle_beta 90.40
_cell_angle_gamma 90.00
loop_
_symmetry_equiv_pos_as_xyz
'x,y,z'
'x,-y,z'
loop_
_atom_site_label
_atom_site_fract_x
_atom_site_fract_y
_atom_site_fract_z
Zr1 0.000 0.000 0.000
Zr2 0.065 0.500 0.596
Zr3 0.542 0.500 0.498
Ni1 0.137 0.500 0.241
Ni2 0.912 0.000 0.355
Sb1 0.284 0.000 0.374
Sb2 0.291 0.500 0.936
Sb3 0.762 0.500 0.195
Sb4 0.780 0.000 0.667
Pd1 0.368 0.000 0.730
Pd2 0.680 0.500 0.864
```

Calculated X-ray diffraction stick pattern
Compound: Tl2NiPd3Se6
Radiation: Cu Kα (λ = 1.5418 Å)
Structure: a DFT-relaxed cell (GGA-PBE, OQMD)

Largest 10 diffraction maxima, low angle first, 5 to 70 degrees two-theta:
index, Position (°2θ), Rel. int.
1 0 0, 13.93, 11
0 0 1, 14.82, 10
1 0 1, 20.40, 13
1 1 1, 28.54, 24
0 2 1, 31.89, 100
1 0 2, 33.13, 24
2 0 2, 41.48, 31
2 1 2, 48.63, 17
2 2 0, 49.69, 35
4 0 1, 60.26, 16

Structural model:
```
data_Tl2NiPd3Se6
_symmetry_space_group_name_H-M 'P -3 m 1'
_symmetry_Int_Tables_number 164
_symmetry_space_group_name_Hall '-P 3 2"'
_cell_length_a 7.3398
_cell_length_b 7.3398
_cell_length_c 5.9757
_cell_angle_alpha 90.00
_cell_angle_beta 90.00
_cell_angle_gamma 120.00
loop_
_atom_site_label
_atom_site_fract_x
_atom_site_fract_y
_atom_site_fract_z
Tl1 0.3333 0.6667 0.1351
Ni1 0.0000 0.0000 0.5000
Pd1 0.0000 0.5000 0.5000
Se1 0.1623 0.3246 0.7125
```

Calculated X-ray diffraction stick pattern
Compound: Si2NiPd
Radiation: Cu Kα (λ = 1.5418 Å)
Structure: a DFT-relaxed cell (GGA-PBE, OQMD)

Largest 10 diffraction maxima, low angle first, 5 to 70 degrees two-theta:
index, Position (°2θ), Rel. int.
0 2 0, 23.38, 19
0 2 1, 33.32, 34
1 2 0, 33.95, 74
1 2 1, 41.64, 100
0 0 2, 47.86, 28
2 0 0, 49.69, 24
0 4 1, 53.90, 24
1 4 0, 54.32, 17
1 2 2, 59.96, 14
2 2 1, 61.14, 11

Structural model:
```
data_Si2NiPd
_symmetry_space_group_name_H-M 'P m n 21'
_symmetry_Int_Tables_number 31
_cell_length_a 3.670
_cell_length_b 7.609
_cell_length_c 3.801
_cell_angle_alpha 90.00
_cell_angle_beta 90.00
_cell_angle_gamma 90.00
loop_
_symmetry_equiv_pos_as_xyz
'x,y,z'
'-x+1/2,-y,z+1/2'
'-x,y,z'
'x+1/2,-y,z+1/2'
loop_
_atom_site_label
_atom_site_fract_x
_atom_site_fract_y
_atom_site_fract_z
Si1 0.000 0.215 0.000
Si2 0.000 0.775 0.995
Ni1 0.000 0.039 0.501
Pd1 0.000 0.568 0.491
```

Calculated X-ray diffraction stick pattern
Compound: Tb2Si4NiPd
Radiation: Cu Kα (λ = 1.5418 Å)
Structure: a DFT-relaxed cell (GGA-PBE, OQMD)

Largest 10 diffraction maxima, low angle first, 5 to 70 degrees two-theta:
index, Position (°2θ), Rel. int.
0 0 4, 21.02, 34
1 0 4, 30.61, 47
1 1 1, 31.76, 95
0 1 5, 34.59, 86
1 1 3, 35.21, 100
1 0 6, 38.97, 30
2 0 0, 44.85, 70
1 0 8, 48.63, 29
0 1 9, 53.82, 23
2 1 5, 57.85, 39

Structural model:
```
data_Tb2Si4NiPd
_symmetry_space_group_name_H-M 'A m m 2'
_symmetry_Int_Tables_number 38
_cell_length_a 4.042
_cell_length_b 4.042
_cell_length_c 16.903
_cell_angle_alpha 90.00
_cell_angle_beta 90.00
_cell_angle_gamma 90.00
loop_
_symmetry_equiv_pos_as_xyz
'x,y,z'
'-x,-y,z'
'-x,y,z'
'x,-y,z'
'x,y+1/2,z+1/2'
'-x,-y+1/2,z+1/2'
'-x,y+1/2,z+1/2'
'x,-y+1/2,z+1/2'
loop_
_atom_site_label
_atom_site_fract_x
_atom_site_fract_y
_atom_site_fract_z
Tb1 0.000 0.000 0.000
Tb2 0.500 0.000 0.204
Si1 0.000 0.000 0.344
Si2 0.000 0.000 0.641
Si3 0.500 0.000 0.567
Si4 0.500 0.000 0.843
Ni1 0.000 0.000 0.776
Pd1 0.500 0.000 0.425
```

Calculated X-ray diffraction stick pattern
Compound: Zr2Si2NiPd
Radiation: Cu Kα (λ = 1.5418 Å)
Structure: a DFT-relaxed cell (GGA-PBE, OQMD)

Largest 10 diffraction maxima, low angle first, 5 to 70 degrees two-theta:
index, Position (°2θ), Rel. int.
1 1 1, 25.85, 100
1 1 -3, 29.99, 4
3 1 -1, 42.81, 93
0 2 0, 42.93, 46
4 0 0, 50.58, 15
2 2 -2, 50.79, 30
4 0 4, 61.96, 7
2 2 -6, 62.33, 15
4 2 0, 68.46, 11
1 3 1, 68.63, 6

Structural model:
```
data_Zr2Si2NiPd
_symmetry_space_group_name_H-M 'P 1 m 1'
_symmetry_Int_Tables_number 6
_cell_length_a 7.323
_cell_length_b 4.212
_cell_length_c 13.996
_cell_angle_alpha 90.00
_cell_angle_beta 99.77
_cell_angle_gamma 90.00
loop_
_symmetry_equiv_pos_as_xyz
'x,y,z'
'x,-y,z'
loop_
_atom_site_label
_atom_site_fract_x
_atom_site_fract_y
_atom_site_fract_z
Zr1 0.000 0.000 0.000
Zr2 0.009 0.500 0.494
Zr3 0.235 0.000 0.737
Zr4 0.247 0.500 0.242
Zr5 0.482 0.000 0.484
Zr6 0.499 0.500 0.999
Zr7 0.743 0.000 0.237
Zr8 0.758 0.500 0.740
Si1 0.122 0.500 0.863
Si2 0.123 0.000 0.363
Si3 0.367 0.500 0.613
Si4 0.372 0.000 0.123
Si5 0.615 0.500 0.363
Si6 0.621 0.000 0.866
Si7 0.875 0.500 0.123
Si8 0.876 0.000 0.616
Ni1 0.060 0.500 0.677
Ni2 0.061 0.000 0.183
Ni3 0.307 0.500 0.426
Ni4 0.558 0.500 0.181
Pd1 0.309 0.000 0.930
Pd2 0.558 0.000 0.676
Pd3 0.809 0.000 0.428
Pd4 0.811 0.500 0.931
```

Calculated X-ray diffraction stick pattern
Compound: Sm3NiSn3Pd2
Radiation: Cu Kα (λ = 1.5418 Å)
Structure: a DFT-relaxed cell (GGA-PBE, OQMD)

Largest 10 diffraction maxima, low angle first, 5 to 70 degrees two-theta:
index, Position (°2θ), Rel. int.
1 1 1, 32.48, 100
2 0 1, 35.31, 72
2 1 0, 36.18, 54
3 0 0, 41.23, 26
2 1 1, 42.83, 20
0 0 2, 45.16, 23
3 1 1, 55.38, 18
2 1 2, 59.19, 26
3 2 1, 66.25, 25
4 1 1, 69.68, 17

Structural model:
```
data_Sm3NiSn3Pd2
_symmetry_space_group_name_H-M 'P -6 2 m'
_symmetry_Int_Tables_number 189
_symmetry_space_group_name_Hall 'P -6 -2'
_cell_length_a 7.5841
_cell_length_b 7.5841
_cell_length_c 4.0152
_cell_angle_alpha 90.00
_cell_angle_beta 90.00
_cell_angle_gamma 120.00
loop_
_atom_site_label
_atom_site_fract_x
_atom_site_fract_y
_atom_site_fract_z
Sm1 0.0000 0.4060 0.0000
Ni1 0.0000 0.0000 0.0000
Sn1 0.0000 0.7544 0.5000
Pd1 0.3333 0.6667 0.5000
```

Calculated X-ray diffraction stick pattern
Compound: Ta2NiPd
Radiation: Cu Kα (λ = 1.5418 Å)
Structure: a DFT-relaxed cell (GGA-PBE, OQMD)

Largest 6 diffraction maxima, low angle first, 5 to 70 degrees two-theta:
index, Position (°2θ), Rel. int.
1 1 1, 24.46, 15
2 0 0, 28.32, 1
2 2 0, 40.48, 100
3 1 1, 47.87, 8
4 0 0, 58.59, 17
3 3 1, 64.45, 4

Structural model:
```
data_Ta2NiPd
_symmetry_space_group_name_H-M 'F -4 3 m'
_symmetry_Int_Tables_number 216
_symmetry_space_group_name_Hall 'F -4 2 3'
_cell_length_a 6.302
_cell_length_b 6.302
_cell_length_c 6.302
_cell_angle_alpha 90.00
_cell_angle_beta 90.00
_cell_angle_gamma 90.00
loop_
_atom_site_label
_atom_site_fract_x
_atom_site_fract_y
_atom_site_fract_z
Ta1 0.000 0.000 0.000
Ta2 0.250 0.250 0.250
Ni1 0.250 0.250 0.750
Pd1 0.000 0.000 0.500
```

Calculated X-ray diffraction stick pattern
Compound: Tm4Ni3Pd
Radiation: Cu Kα (λ = 1.5418 Å)
Structure: a DFT-relaxed cell (GGA-PBE, OQMD)

Largest 10 diffraction maxima, low angle first, 5 to 70 degrees two-theta:
index, Position (°2θ), Rel. int.
1 1 0, 26.85, 30
1 1 1, 29.84, 80
0 1 2, 33.51, 100
2 0 -1, 35.61, 89
1 1 -2, 37.51, 92
2 1 -1, 41.77, 82
1 0 3, 42.58, 25
0 2 0, 43.02, 55
2 2 -1, 57.04, 56
1 2 3, 62.11, 34

Structural model:
```
data_Tm4Ni3Pd
_symmetry_space_group_name_H-M 'P 1 m 1'
_symmetry_Int_Tables_number 6
_cell_length_a 5.413
_cell_length_b 4.205
_cell_length_c 6.931
_cell_angle_alpha 90.00
_cell_angle_beta 90.14
_cell_angle_gamma 90.00
loop_
_symmetry_equiv_pos_as_xyz
'x,y,z'
'x,-y,z'
loop_
_atom_site_label
_atom_site_fract_x
_atom_site_fract_y
_atom_site_fract_z
Tm1 0.000 0.000 0.000
Tm2 0.226 0.000 0.506
Tm3 0.491 0.500 0.136
Tm4 0.728 0.500 0.651
Ni1 0.006 0.500 0.280
Ni2 0.232 0.500 0.784
Ni3 0.491 0.000 0.858
Pd1 0.722 0.000 0.363
```

Calculated X-ray diffraction stick pattern
Compound: Pm3Ni
Radiation: Cu Kα (λ = 1.5418 Å)
Structure: a DFT-relaxed cell (GGA-PBE, OQMD)

Largest 10 diffraction maxima, low angle first, 5 to 70 degrees two-theta:
index, Position (°2θ), Rel. int.
0 0 2, 16.91, 3
1 0 1, 21.49, 7
1 1 2, 32.93, 100
0 0 4, 34.20, 23
2 0 0, 40.08, 29
2 0 4, 53.69, 25
2 2 0, 57.98, 10
1 1 6, 60.43, 17
3 1 2, 68.31, 24
2 2 4, 69.07, 12

Structural model:
```
data_Pm3Ni
_symmetry_space_group_name_H-M 'I 4/m m m'
_symmetry_Int_Tables_number 139
_symmetry_space_group_name_Hall '-I 4 2'
_cell_length_a 4.499
_cell_length_b 4.499
_cell_length_c 10.488
_cell_angle_alpha 90.00
_cell_angle_beta 90.00
_cell_angle_gamma 90.00
loop_
_atom_site_label
_atom_site_fract_x
_atom_site_fract_y
_atom_site_fract_z
Pm1 0.000 0.000 0.000
Pm2 0.000 0.500 0.250
Ni1 0.000 0.000 0.500
```

Calculated X-ray diffraction stick pattern
Compound: Pr2Ni7
Radiation: Cu Kα (λ = 1.5418 Å)
Structure: a DFT-relaxed cell (GGA-PBE, OQMD)

Largest 10 diffraction maxima, low angle first, 5 to 70 degrees two-theta:
index, Position (°2θ), Rel. int.
1 0 7, 32.96, 61
1 1 0, 35.80, 47
2 0 0, 41.58, 13
2 0 1, 41.75, 33
1 1 6, 42.35, 100
0 0 12, 44.60, 16
2 0 5, 45.73, 16
2 1 7, 62.55, 20
2 0 13, 65.79, 16
3 0 6, 68.83, 22

Structural model:
```
data_Pr2Ni7
_symmetry_space_group_name_H-M 'P 63/m m c'
_symmetry_Int_Tables_number 194
_symmetry_space_group_name_Hall '-P 6c 2c'
_cell_length_a 5.0163
_cell_length_b 5.0163
_cell_length_c 24.3781
_cell_angle_alpha 90.00
_cell_angle_beta 90.00
_cell_angle_gamma 120.00
loop_
_atom_site_label
_atom_site_fract_x
_atom_site_fract_y
_atom_site_fract_z
Pr1 0.3333 0.6667 0.0296
Pr2 0.3333 0.6667 0.1742
Ni1 0.0000 0.0000 0.0000
Ni2 0.0000 0.0000 0.1688
Ni3 0.1665 0.3331 0.5873
Ni4 0.1669 0.3338 0.7500
Ni5 0.3333 0.6667 0.6681
```

Calculated X-ray diffraction stick pattern
Compound: PrNi2
Radiation: Cu Kα (λ = 1.5418 Å)
Structure: a DFT-relaxed cell (GGA-PBE, OQMD)

Largest 7 diffraction maxima, low angle first, 5 to 70 degrees two-theta:
index, Position (°2θ), Rel. int.
1 1 1, 21.00, 8
2 2 0, 34.63, 58
3 1 1, 40.85, 100
2 2 2, 42.76, 18
3 3 1, 54.60, 2
4 2 2, 62.06, 21
5 1 1, 66.29, 30

Structural model:
Cell lengths 7.326, 7.326, 7.326 Å; angles 90.00, 90.00, 90.00 degrees
Space group Fd-3m (No. 227, origin choice 2)
Symmetry-distinct sites (fractional):
Pr1 0.125 0.125 0.125 (multiplicity 8)
Ni1 0.000 0.000 0.500 (multiplicity 16)

Calculated X-ray diffraction stick pattern
Compound: Pr2Ni7
Radiation: Cu Kα (λ = 1.5418 Å)
Structure: a DFT-relaxed cell (GGA-PBE, OQMD)

Largest 10 diffraction maxima, low angle first, 5 to 70 degrees two-theta:
index, Position (°2θ), Rel. int.
1 0 10, 31.92, 40
0 1 11, 33.87, 33
1 1 0, 35.76, 47
0 2 1, 41.61, 36
1 1 9, 42.28, 100
0 0 18, 44.46, 15
2 0 8, 46.21, 13
2 1 10, 61.86, 12
2 0 20, 66.72, 12
0 3 9, 68.73, 22

Structural model:
```
data_Pr2Ni7
_symmetry_space_group_name_H-M 'R -3 m'
_symmetry_Int_Tables_number 166
_symmetry_space_group_name_Hall '-R 3 2"'
_cell_length_a 5.0214
_cell_length_b 5.0214
_cell_length_c 36.6827
_cell_angle_alpha 90.00
_cell_angle_beta 90.00
_cell_angle_gamma 120.00
loop_
_atom_site_label
_atom_site_fract_x
_atom_site_fract_y
_atom_site_fract_z
Pr1 0.0000 0.0000 0.0506
Pr2 0.0000 0.0000 0.1468
Ni1 0.0000 0.0000 0.2787
Ni2 0.0000 0.0000 0.3875
Ni3 0.0000 0.0000 0.5000
Ni4 0.0000 0.5000 0.0000
Ni5 0.0009 0.5005 0.1083
```

Calculated X-ray diffraction stick pattern
Compound: PrSm2Ni6Pt3
Radiation: Cu Kα (λ = 1.5418 Å)
Structure: a DFT-relaxed cell (GGA-PBE, OQMD)

Largest 10 diffraction maxima, low angle first, 5 to 70 degrees two-theta:
index, Position (°2θ), Rel. int.
0 0 6, 20.87, 19
0 1 8, 34.51, 15
1 1 0, 34.71, 60
1 1 6, 40.85, 100
0 0 12, 42.48, 13
0 1 11, 43.93, 17
2 0 5, 44.18, 19
3 0 0, 62.22, 11
3 0 6, 66.39, 23
1 2 11, 68.64, 9

Structural model:
```
data_PrSm2Ni6Pt3
_symmetry_space_group_name_H-M 'R -3 m'
_symmetry_Int_Tables_number 166
_symmetry_space_group_name_Hall '-R 3 2"'
_cell_length_a 5.1686
_cell_length_b 5.1686
_cell_length_c 25.5384
_cell_angle_alpha 90.00
_cell_angle_beta 90.00
_cell_angle_gamma 120.00
loop_
_atom_site_label
_atom_site_fract_x
_atom_site_fract_y
_atom_site_fract_z
Pr1 0.0000 0.0000 0.0000
Sm1 0.0000 0.0000 0.1385
Ni1 0.0041 0.5021 0.9162
Pt1 0.0000 0.0000 0.3327
Pt2 0.0000 0.0000 0.5000
```